Entry 1:
Theoretical PXRD pattern of YGa3 for copper Kα, from a cell relaxed with GGA-PBE.
No peak broadening, texture or thermal motion is included.

The 7 most intense peaks (15° ≤ 2θ ≤ 90°), by angle:
d_spacing	Position (°2θ)	Rel. int.	h k l
4.284	20.7	1	1 0 0
3.029	29.5	1	1 1 0
2.473	36.3	100	1 1 1
2.142	42.2	49	2 0 0
1.514	61.2	31	2 2 0
1.292	73.3	36	3 1 1
1.237	77.1	10	2 2 2

```
data_YGa3
_chemical_formula_sum 'Y1 Ga3'
_symmetry_space_group_name_H-M 'P m -3 m'
_symmetry_Int_Tables_number 221
_symmetry_space_group_name_Hall '-P 4 2 3'
_cell_length_a 4.2836
_cell_length_b 4.2836
_cell_length_c 4.2836
_cell_angle_alpha 90.00
_cell_angle_beta 90.00
_cell_angle_gamma 90.00
loop_
_atom_site_label
_atom_site_fract_x
_atom_site_fract_y
_atom_site_fract_z
Y1 0.0000 0.0000 0.0000
Ga1 0.0000 0.5000 0.5000
```

---

Entry 2:
Theoretical PXRD pattern of YZnGa for copper Kα, from a cell relaxed with GGA-PBE.
No peak broadening, texture or thermal motion is included.

The 10 most intense peaks (15° ≤ 2θ ≤ 90°), by angle:
d_spacing	Position (°2θ)	Rel. int.	h k l
3.615	24.6	4	0 0 2
2.629	34.1	100	1 0 2
2.212	40.8	63	1 1 0
1.807	50.5	11	0 0 4
1.693	54.2	26	2 0 2
1.400	66.8	28	1 1 4
1.344	70.0	23	2 1 2
1.277	74.3	10	3 0 0
1.149	84.2	7	1 0 6
1.106	88.4	6	2 2 0

```
data_YZnGa
_chemical_formula_sum 'Y2 Zn2 Ga2'
_symmetry_space_group_name_H-M 'P 63/m m c'
_symmetry_Int_Tables_number 194
_symmetry_space_group_name_Hall '-P 6c 2c'
_cell_length_a 4.4247
_cell_length_b 4.4247
_cell_length_c 7.2296
_cell_angle_alpha 90.00
_cell_angle_beta 90.00
_cell_angle_gamma 120.00
loop_
_atom_site_label
_atom_site_fract_x
_atom_site_fract_y
_atom_site_fract_z
Y1 0.0000 0.0000 0.0000
Zn1 0.3333 0.6667 0.2500
Ga1 0.3333 0.6667 0.7500
```

---

Entry 3:
Theoretical PXRD pattern of ZnGa3 for copper Kα, from a cell relaxed with GGA-PBE.
No peak broadening, texture or thermal motion is included.

The 5 most intense peaks (15° ≤ 2θ ≤ 90°), by angle:
d_spacing	Position (°2θ)	Rel. int.	h k l
2.402	37.4	100	1 1 1
2.081	43.5	49	2 0 0
1.471	63.2	31	2 2 0
1.255	75.8	35	3 1 1
1.201	79.8	10	2 2 2

```
data_ZnGa3
_chemical_formula_sum 'Zn1 Ga3'
_symmetry_space_group_name_H-M 'P m -3 m'
_symmetry_Int_Tables_number 221
_symmetry_space_group_name_Hall '-P 4 2 3'
_cell_length_a 4.1612
_cell_length_b 4.1612
_cell_length_c 4.1612
_cell_angle_alpha 90.00
_cell_angle_beta 90.00
_cell_angle_gamma 90.00
loop_
_atom_site_label
_atom_site_fract_x
_atom_site_fract_y
_atom_site_fract_z
Zn1 0.0000 0.0000 0.0000
Ga1 0.0000 0.5000 0.5000
```

---

Entry 4:
Theoretical PXRD pattern of Zr2Zn3Ga3 for copper Kα, from a cell relaxed with GGA-PBE.
No peak broadening, texture or thermal motion is included.

The 10 most intense peaks (15° ≤ 2θ ≤ 90°), by angle:
d_spacing	Position (°2θ)	Rel. int.	h k l
2.356	38.2	100	1 1 2
2.059	44.0	16	0 0 4
2.041	44.4	16	0 2 0
2.021	44.8	16	2 0 0
1.450	64.3	10	0 2 4
1.442	64.6	10	2 0 4
1.238	77.0	12	1 1 6
1.231	77.6	12	1 3 2
1.222	78.2	11	3 1 2
1.178	81.8	10	2 2 4

```
data_Zr2Zn3Ga3
_chemical_formula_sum 'Zr2 Zn3 Ga3'
_symmetry_space_group_name_H-M 'P m m m'
_symmetry_Int_Tables_number 47
_symmetry_space_group_name_Hall '-P 2 2'
_cell_length_a 4.0427
_cell_length_b 4.0824
_cell_length_c 8.2349
_cell_angle_alpha 90.00
_cell_angle_beta 90.00
_cell_angle_gamma 90.00
loop_
_atom_site_label
_atom_site_fract_x
_atom_site_fract_y
_atom_site_fract_z
Zr1 0.0000 0.0000 0.2456
Zn1 0.0000 0.5000 0.0000
Zn2 0.0000 0.5000 0.5000
Zn3 0.5000 0.0000 0.5000
Ga1 0.5000 0.0000 0.0000
Ga2 0.5000 0.5000 0.2567
```

---

Entry 5:
Theoretical PXRD pattern of Zr5Ga3 for copper Kα, from a cell relaxed with GGA-PBE.
No peak broadening, texture or thermal motion is included.

The 10 most intense peaks (15° ≤ 2θ ≤ 90°), by angle:
d_spacing	Position (°2θ)	Rel. int.	h k l
2.885	31.0	16	0 0 2
2.669	33.6	19	1 0 2
2.660	33.7	34	2 1 0
2.416	37.2	100	2 1 1
2.352	38.3	75	1 1 2
2.346	38.4	41	3 0 0
1.661	55.3	18	2 2 2
1.558	59.3	25	2 1 3
1.502	61.8	13	4 0 2
1.265	75.1	17	5 0 2

```
data_Zr5Ga3
_chemical_formula_sum 'Zr10 Ga6'
_symmetry_space_group_name_H-M 'P 63/m c m'
_symmetry_Int_Tables_number 193
_symmetry_space_group_name_Hall '-P 6c 2'
_cell_length_a 8.1265
_cell_length_b 8.1265
_cell_length_c 5.7694
_cell_angle_alpha 90.00
_cell_angle_beta 90.00
_cell_angle_gamma 120.00
loop_
_atom_site_label
_atom_site_fract_x
_atom_site_fract_y
_atom_site_fract_z
Zr1 0.0000 0.2413 0.2500
Zr2 0.3333 0.6667 0.0000
Ga1 0.0000 0.3937 0.7500
```

---

Entry 6:
Theoretical PXRD pattern of ZrGa2 for copper Kα, from a cell relaxed with GGA-PBE.
No peak broadening, texture or thermal motion is included.

The 10 most intense peaks (15° ≤ 2θ ≤ 90°), by angle:
d_spacing	Position (°2θ)	Rel. int.	h k l
2.404	37.4	100	1 3 1
2.169	41.6	16	0 6 0
2.079	43.5	17	0 0 2
2.008	45.2	15	2 0 0
1.501	61.8	9	0 6 2
1.474	63.1	9	2 6 0
1.444	64.5	10	2 0 2
1.254	75.9	12	1 3 3
1.223	78.2	11	3 3 1
1.202	79.8	9	2 6 2

```
data_ZrGa2
_chemical_formula_sum 'Zr4 Ga8'
_symmetry_space_group_name_H-M 'C m m m'
_symmetry_Int_Tables_number 65
_symmetry_space_group_name_Hall '-C 2 2'
_cell_length_a 4.0163
_cell_length_b 13.0165
_cell_length_c 4.1572
_cell_angle_alpha 90.00
_cell_angle_beta 90.00
_cell_angle_gamma 90.00
loop_
_atom_site_label
_atom_site_fract_x
_atom_site_fract_y
_atom_site_fract_z
Zr1 0.0000 0.1501 0.0000
Ga1 0.0000 0.0000 0.5000
Ga2 0.0000 0.3220 0.5000
Ga3 0.0000 0.5000 0.0000
```

---

Entry 7:
Theoretical PXRD pattern of ZrGa3 for copper Kα, from a cell relaxed with GGA-PBE.
No peak broadening, texture or thermal motion is included.

The 10 most intense peaks (15° ≤ 2θ ≤ 90°), by angle:
d_spacing	Position (°2θ)	Rel. int.	h k l
3.607	24.7	1	1 0 1
2.374	37.9	100	1 1 2
2.295	39.2	23	0 0 4
1.961	46.3	28	2 0 0
1.491	62.3	22	2 0 4
1.387	67.5	9	2 2 0
1.340	70.2	15	1 1 6
1.198	80.1	21	3 1 2
1.187	81.0	10	2 2 4
1.148	84.4	2	0 0 8

```
data_ZrGa3
_chemical_formula_sum 'Zr2 Ga6'
_symmetry_space_group_name_H-M 'I 4/m m m'
_symmetry_Int_Tables_number 139
_symmetry_space_group_name_Hall '-I 4 2'
_cell_length_a 3.9228
_cell_length_b 3.9228
_cell_length_c 9.1816
_cell_angle_alpha 90.00
_cell_angle_beta 90.00
_cell_angle_gamma 90.00
loop_
_atom_site_label
_atom_site_fract_x
_atom_site_fract_y
_atom_site_fract_z
Zr1 0.0000 0.0000 0.0000
Ga1 0.0000 0.0000 0.5000
Ga2 0.0000 0.5000 0.2500
```

---

Entry 8:
Theoretical PXRD pattern of ZrGa3 for copper Kα, from a cell relaxed with GGA-PBE.
No peak broadening, texture or thermal motion is included.

The 10 most intense peaks (15° ≤ 2θ ≤ 90°), by angle:
d_spacing	Position (°2θ)	Rel. int.	h k l
3.895	22.8	1	1 0 1
2.379	37.8	100	1 1 4
2.208	40.9	20	0 0 8
1.997	45.4	30	2 0 0
1.481	62.7	21	2 0 8
1.412	66.2	9	2 2 0
1.305	72.4	13	1 1 12
1.214	78.8	22	3 1 4
1.189	80.8	10	2 2 8
1.104	88.6	2	0 0 16

```
data_ZrGa3
_chemical_formula_sum 'Zr4 Ga12'
_symmetry_space_group_name_H-M 'I 4/m m m'
_symmetry_Int_Tables_number 139
_symmetry_space_group_name_Hall '-I 4 2'
_cell_length_a 3.9932
_cell_length_b 3.9932
_cell_length_c 17.6604
_cell_angle_alpha 90.00
_cell_angle_beta 90.00
_cell_angle_gamma 90.00
loop_
_atom_site_label
_atom_site_fract_x
_atom_site_fract_y
_atom_site_fract_z
Zr1 0.0000 0.0000 0.1184
Ga1 0.0000 0.0000 0.3752
Ga2 0.0000 0.5000 0.0000
Ga3 0.0000 0.5000 0.2500
```

---

Entry 9:
Theoretical PXRD pattern of Zr2Ga3 for copper Kα, from a cell relaxed with GGA-PBE.
No peak broadening, texture or thermal motion is included.

The 10 most intense peaks (15° ≤ 2θ ≤ 90°), by angle:
d_spacing	Position (°2θ)	Rel. int.	h k l
2.800	32.0	11	2 4 0
2.702	33.2	16	3 1 1
2.579	34.8	18	0 2 2
2.399	37.5	100	1 5 1
2.366	38.0	43	3 3 1
2.268	39.8	40	2 2 2
2.250	40.1	32	4 2 0
1.829	49.9	11	1 7 1
1.378	68.1	9	6 0 2
1.244	76.6	9	3 7 3

```
data_Zr2Ga3
_chemical_formula_sum 'Zr16 Ga24'
_symmetry_space_group_name_H-M 'F d d 2'
_symmetry_Int_Tables_number 43
_symmetry_space_group_name_Hall 'F 2 -2d'
_cell_length_a 9.5167
_cell_length_b 13.8496
_cell_length_c 5.5585
_cell_angle_alpha 90.00
_cell_angle_beta 90.00
_cell_angle_gamma 90.00
loop_
_atom_site_label
_atom_site_fract_x
_atom_site_fract_y
_atom_site_fract_z
Zr1 0.0693 0.3023 0.0000
Ga1 0.0000 0.0000 0.3691
Ga2 0.0703 0.3851 0.4899
```

---

Entry 10:
Theoretical PXRD pattern of ZrGa for copper Kα, from a cell relaxed with GGA-PBE.
No peak broadening, texture or thermal motion is included.

The 10 most intense peaks (15° ≤ 2θ ≤ 90°), by angle:
d_spacing	Position (°2θ)	Rel. int.	h k l
2.827	31.7	18	1 0 5
2.661	33.7	100	1 1 2
2.567	34.9	24	0 0 8
2.344	38.4	35	1 0 7
2.146	42.1	55	1 1 6
1.948	46.6	46	2 0 0
1.552	59.6	20	2 0 8
1.498	61.9	17	2 1 7
1.378	68.1	14	2 2 0
1.223	78.1	16	3 1 2

```
data_ZrGa
_chemical_formula_sum 'Zr8 Ga8'
_symmetry_space_group_name_H-M 'I 41/a m d'
_symmetry_Int_Tables_number 141
_cell_length_a 3.8965
_cell_length_b 3.8965
_cell_length_c 20.5383
_cell_angle_alpha 90.00
_cell_angle_beta 90.00
_cell_angle_gamma 90.00
loop_
_symmetry_equiv_pos_as_xyz
'x,y,z'
'-x,-y,-z'
'-y+1/4,x+3/4,z+1/4'
'y+1/4,-x+3/4,-z+1/4'
'-x+1/2,-y,z+1/2'
'x+1/2,y,-z+1/2'
'y+1/4,-x+1/4,z+3/4'
'-y+1/4,x+1/4,-z+3/4'
'x,-y,-z'
'-x,y,z'
'-y+1/4,-x+1/4,-z+3/4'
'y+1/4,x+1/4,z+3/4'
'-x+1/2,y,-z+1/2'
'x+1/2,-y,z+1/2'
'y+1/4,x+3/4,-z+1/4'
'-y+1/4,-x+3/4,z+1/4'
'x+1/2,y+1/2,z+1/2'
'-x+1/2,-y+1/2,-z+1/2'
'-y+3/4,x+1/4,z+3/4'
'y+3/4,-x+1/4,-z+3/4'
'-x,-y+1/2,z'
'x,y+1/2,-z'
'y+3/4,-x+3/4,z+1/4'
'-y+3/4,x+3/4,-z+1/4'
'x+1/2,-y+1/2,-z+1/2'
'-x+1/2,y+1/2,z+1/2'
'-y+3/4,-x+3/4,-z+1/4'
'y+3/4,x+3/4,z+1/4'
'-x,y+1/2,-z'
'x,-y+1/2,z'
'y+3/4,x+1/4,-z+3/4'
'-y+3/4,-x+1/4,z+3/4'
loop_
_atom_site_label
_atom_site_fract_x
_atom_site_fract_y
_atom_site_fract_z
Zr1 0.0000 0.2500 0.0723
Ga1 0.0000 0.2500 0.2100
```

---

Entry 11:
Theoretical PXRD pattern of KGdGeS4 for copper Kα, from a cell relaxed with GGA-PBE.
No peak broadening, texture or thermal motion is included.

The 10 most intense peaks (15° ≤ 2θ ≤ 90°), by angle:
d_spacing	Position (°2θ)	Rel. int.	h k l
5.240	16.9	92	0 1 1
4.595	19.3	46	1 1 0
3.545	25.1	46	0 1 2
3.480	25.6	45	1 1 -2
3.368	26.5	77	0 2 0
2.962	30.2	51	2 0 -2
2.804	31.9	100	1 1 2
2.709	33.1	86	2 1 -2
2.297	39.2	71	2 2 0
2.179	41.4	60	1 0 -4

```
data_KGdGeS4
_chemical_formula_sum 'K2 Gd2 Ge2 S8'
_symmetry_space_group_name_H-M 'P 1 21 1'
_symmetry_Int_Tables_number 4
_symmetry_space_group_name_Hall 'P 2yb'
_cell_length_a 6.5712
_cell_length_b 6.7353
_cell_length_c 8.7194
_cell_angle_alpha 90.00
_cell_angle_beta 106.99
_cell_angle_gamma 90.00
loop_
_atom_site_label
_atom_site_fract_x
_atom_site_fract_y
_atom_site_fract_z
K1 0.2317 0.0000 0.4336
Gd1 0.2710 0.0163 0.9491
Ge1 0.2753 0.4836 0.1781
S1 0.0678 0.4814 0.3362
S2 0.0718 0.4226 0.9290
S3 0.4784 0.7442 0.7798
S4 0.4829 0.7523 0.2050
```

---

Entry 12:
Theoretical PXRD pattern of LiGdGe for copper Kα, from a cell relaxed with GGA-PBE.
No peak broadening, texture or thermal motion is included.

The 10 most intense peaks (15° ≤ 2θ ≤ 90°), by angle:
d_spacing	Position (°2θ)	Rel. int.	h k l
4.305	20.6	39	0 0 1
3.576	24.9	38	1 1 0
3.097	28.8	39	2 0 0
2.751	32.6	80	1 1 1
2.514	35.7	100	2 0 1
2.153	42.0	23	0 0 2
2.057	44.0	22	2 1 1
1.718	53.3	24	3 1 0
1.595	57.8	30	3 1 1
1.343	70.1	21	3 1 2

```
data_LiGdGe
_chemical_formula_sum 'Li3 Gd3 Ge3'
_symmetry_space_group_name_H-M 'P -6 2 m'
_symmetry_Int_Tables_number 189
_symmetry_space_group_name_Hall 'P -6 -2'
_cell_length_a 7.1516
_cell_length_b 7.1516
_cell_length_c 4.3051
_cell_angle_alpha 90.00
_cell_angle_beta 90.00
_cell_angle_gamma 120.00
loop_
_atom_site_label
_atom_site_fract_x
_atom_site_fract_y
_atom_site_fract_z
Li1 0.0000 0.2327 0.0000
Gd1 0.0000 0.5774 0.5000
Ge1 0.0000 0.0000 0.5000
Ge2 0.3333 0.6667 0.0000
```